Calculated powder diffraction line list of Na2CdH4S2O10 for Cu Kα (weighted mean of Kα1 and Kα2), from DFT lattice parameters and positions (GGA-PBE).
Intensities are scaled so that the largest is 1000.

Most intense lines, 10° ≤ 2θ ≤ 90°, by angle:
| 2theta | Rel. int. |
| --- | --- |
| 13.42 | 1000 |
| 20.57 | 572 |
| 26.03 | 821 |
| 26.47 | 755 |
| 27.90 | 565 |
| 29.00 | 372 |
| 31.72 | 558 |
| 32.12 | 442 |

Structure:
abc: 5.954 13.195 5.687
angles: 90.00 106.46 90.00
Space group P2_1/c (No. 14)
Asymmetric unit:
Na  0.093  0.116  0.276
Cd  0.500  0.000  0.000
H  0.174  0.162  0.830
H  0.407  0.211  0.008
S  0.259  0.618  0.919
O  0.064  0.692  0.896
O  0.215  0.560  0.682
O  0.251  0.544  0.118
O  0.304  0.150  0.984
O  0.489  0.669  0.977